(1)
The following is a calculated XRD peak list of Na2Ge2O5. It was derived from the PBE geometry in Alexandria, using Cu Kα, 1.54184 Å.
Peak positions follow from Bragg's law for the DFT cell and can differ from measured ones.

Most intense lines, 10 to 90 degrees two-theta, in order of rising 2θ:
| two_theta | I (rel.) |
| --- | --- |
| 17.18 | 65 |
| 21.78 | 41 |
| 22.64 | 100 |
| 25.60 | 51 |
| 32.58 | 29 |
| 35.27 | 70 |
| 36.20 | 25 |
| 46.56 | 30 |

Cell and atoms:
Cell lengths 6.661, 5.096, 16.323 Å; angles 90.00, 90.00, 90.00 degrees
Atoms (fractional coordinates):
1 Na 0.100 0.231 0.057
2 Na 0.100 0.769 0.557
3 Na 0.400 0.269 0.557
4 Na 0.400 0.731 0.057
5 Na 0.600 0.269 0.943
6 Na 0.600 0.731 0.443
7 Na 0.900 0.231 0.443
8 Na 0.900 0.769 0.943
9 Ge 0.101 0.298 0.845
10 Ge 0.101 0.702 0.345
11 Ge 0.399 0.202 0.345
12 Ge 0.399 0.798 0.845
13 Ge 0.601 0.202 0.155
14 Ge 0.601 0.798 0.655
15 Ge 0.899 0.298 0.655
16 Ge 0.899 0.702 0.155
17 O 0.000 0.198 0.750
18 O 0.000 0.802 0.250
19 O 0.054 0.233 0.573
20 O 0.054 0.767 0.073
21 O 0.156 0.356 0.350
22 O 0.156 0.644 0.850
23 O 0.344 0.144 0.850
24 O 0.344 0.856 0.350
25 O 0.446 0.267 0.073
26 O 0.446 0.733 0.573
27 O 0.500 0.302 0.250
28 O 0.500 0.698 0.750
29 O 0.554 0.267 0.427
30 O 0.554 0.733 0.927
31 O 0.656 0.144 0.650
32 O 0.656 0.856 0.150
33 O 0.844 0.356 0.150
34 O 0.844 0.644 0.650
35 O 0.946 0.233 0.927
36 O 0.946 0.767 0.427


(2)
The following is a calculated XRD peak list of NaGe2P3O12. It was derived from the PBE geometry in Alexandria, using Cu Kα, 1.54184 Å.
Peak positions follow from Bragg's law for the DFT cell and can differ from measured ones.

Most intense lines, 10 to 90 degrees two-theta, in order of rising 2θ:
| two_theta | I (rel.) |
| --- | --- |
| 14.84 | 32 |
| 20.50 | 75 |
| 21.59 | 95 |
| 24.86 | 100 |
| 29.95 | 59 |
| 32.86 | 94 |
| 37.86 | 34 |
| 50.99 | 31 |

Cell and atoms:
Cell lengths 8.689, 8.689, 8.689 Å; angles 56.55, 56.55, 56.55 degrees
Atoms (fractional coordinates):
1 Na 0.000 0.000 0.000
2 Na 0.500 0.500 0.500
3 Ge 0.144 0.144 0.144
4 Ge 0.352 0.352 0.352
5 Ge 0.648 0.648 0.648
6 Ge 0.856 0.856 0.856
7 P 0.035 0.463 0.751
8 P 0.249 0.965 0.537
9 P 0.463 0.751 0.035
10 P 0.537 0.249 0.965
11 P 0.751 0.035 0.463
12 P 0.965 0.537 0.249
13 O 0.010 0.626 0.795
14 O 0.096 0.898 0.741
15 O 0.102 0.259 0.904
16 O 0.158 0.521 0.235
17 O 0.200 0.476 0.544
18 O 0.205 0.990 0.374
19 O 0.235 0.158 0.521
20 O 0.259 0.904 0.102
21 O 0.374 0.205 0.990
22 O 0.456 0.800 0.524
23 O 0.476 0.544 0.200
24 O 0.479 0.765 0.842
25 O 0.521 0.235 0.158
26 O 0.524 0.456 0.800
27 O 0.544 0.200 0.476
28 O 0.626 0.795 0.010
29 O 0.741 0.096 0.898
30 O 0.765 0.842 0.479
31 O 0.795 0.010 0.626
32 O 0.800 0.524 0.456
33 O 0.842 0.479 0.765
34 O 0.898 0.741 0.096
35 O 0.904 0.102 0.259
36 O 0.990 0.374 0.205


(3)
The following is a calculated XRD peak list of Na4PaGe3O12. It was derived from the PBE geometry in Alexandria, using Cu Kα, 1.54184 Å.
Peak positions follow from Bragg's law for the DFT cell and can differ from measured ones.

Most intense lines, 10 to 90 degrees two-theta, in order of rising 2θ:
| two_theta | I (rel.) |
| --- | --- |
| 15.91 | 43 |
| 22.57 | 94 |
| 27.74 | 25 |
| 32.14 | 100 |
| 46.09 | 41 |
| 51.90 | 38 |
| 57.29 | 39 |
| 67.22 | 24 |

Cell and atoms:
Cell lengths 6.823, 6.823, 6.823 Å; angles 109.47, 109.47, 109.47 degrees
Atoms (fractional coordinates):
1 Na 0.000 0.000 0.500
2 Na 0.000 0.500 0.000
3 Na 0.500 0.000 0.000
4 Na 0.500 0.500 0.500
5 Pa 0.000 0.000 0.000
6 Ge 0.000 0.500 0.500
7 Ge 0.500 0.000 0.500
8 Ge 0.500 0.500 0.000
9 O 0.000 0.269 0.269
10 O 0.000 0.731 0.731
11 O 0.250 0.500 0.750
12 O 0.250 0.750 0.500
13 O 0.269 0.000 0.269
14 O 0.269 0.269 0.000
15 O 0.500 0.250 0.750
16 O 0.500 0.750 0.250
17 O 0.731 0.000 0.731
18 O 0.731 0.731 0.000
19 O 0.750 0.250 0.500
20 O 0.750 0.500 0.250


(4)
The following is a calculated XRD peak list of Na3Pm3GeO8. It was derived from the PBE geometry in Alexandria, using Cu Kα, 1.54184 Å.
Peak positions follow from Bragg's law for the DFT cell and can differ from measured ones.

Most intense lines, 10 to 90 degrees two-theta, in order of rising 2θ:
| two_theta | I (rel.) |
| --- | --- |
| 15.94 | 100 |
| 30.51 | 50 |
| 31.92 | 51 |
| 37.11 | 77 |
| 48.97 | 19 |
| 53.31 | 25 |
| 53.67 | 23 |
| 56.01 | 21 |

Cell and atoms:
Cell lengths 6.831, 6.831, 6.831 Å; angles 60.42, 60.42, 60.42 degrees
Atoms (fractional coordinates):
1 Na 0.000 0.500 0.500
2 Na 0.500 0.000 0.500
3 Na 0.500 0.500 0.000
4 Pm 0.000 0.000 0.500
5 Pm 0.000 0.500 0.000
6 Pm 0.500 0.000 0.000
7 Ge 0.500 0.500 0.500
8 O 0.238 0.238 0.238
9 O 0.281 0.707 0.707
10 O 0.293 0.293 0.719
11 O 0.293 0.719 0.293
12 O 0.707 0.281 0.707
13 O 0.707 0.707 0.281
14 O 0.719 0.293 0.293
15 O 0.762 0.762 0.762


(5)
The following is a calculated XRD peak list of NaPrGeO4. It was derived from the PBE geometry in Alexandria, using Cu Kα, 1.54184 Å.
Peak positions follow from Bragg's law for the DFT cell and can differ from measured ones.

Most intense lines, 10 to 90 degrees two-theta, in order of rising 2θ:
| two_theta | I (rel.) |
| --- | --- |
| 17.50 | 24 |
| 18.79 | 14 |
| 29.74 | 100 |
| 32.10 | 41 |
| 43.15 | 23 |
| 52.78 | 16 |
| 55.27 | 19 |
| 59.62 | 14 |

Cell and atoms:
Cell lengths 5.597, 5.597, 7.463 Å; angles 90.00, 90.00, 115.10 degrees
Atoms (fractional coordinates):
1 Na 0.175 0.825 0.750
2 Na 0.825 0.175 0.250
3 Pr 0.500 0.500 0.000
4 Pr 0.500 0.500 0.500
5 Ge 0.151 0.849 0.250
6 Ge 0.849 0.151 0.750
7 O 0.206 0.275 0.750
8 O 0.255 0.745 0.055
9 O 0.255 0.745 0.445
10 O 0.275 0.206 0.250
11 O 0.725 0.794 0.750
12 O 0.745 0.255 0.555
13 O 0.745 0.255 0.945
14 O 0.794 0.725 0.250


(6)
The following is a calculated XRD peak list of NaReGeO6. It was derived from the PBE geometry in Alexandria, using Cu Kα, 1.54184 Å.
Peak positions follow from Bragg's law for the DFT cell and can differ from measured ones.

Most intense lines, 10 to 90 degrees two-theta, in order of rising 2θ:
| two_theta | I (rel.) |
| --- | --- |
| 19.66 | 31 |
| 21.10 | 86 |
| 26.48 | 100 |
| 33.20 | 26 |
| 35.28 | 72 |
| 43.69 | 22 |
| 52.67 | 62 |
| 61.62 | 21 |

Cell and atoms:
Cell lengths 4.760, 4.760, 9.029 Å; angles 90.00, 90.00, 90.00 degrees
Atoms (fractional coordinates):
1 Na 0.000 0.000 0.000
2 Na 0.500 0.500 0.500
3 Re 0.000 0.000 0.669
4 Re 0.500 0.500 0.169
5 Ge 0.000 0.000 0.330
6 Ge 0.500 0.500 0.830
7 O 0.172 0.172 0.498
8 O 0.218 0.218 0.798
9 O 0.219 0.219 0.189
10 O 0.281 0.719 0.689
11 O 0.282 0.718 0.298
12 O 0.328 0.672 0.998
13 O 0.672 0.328 0.998
14 O 0.718 0.282 0.298
15 O 0.719 0.281 0.689
16 O 0.781 0.781 0.189
17 O 0.782 0.782 0.798
18 O 0.828 0.828 0.498


(7)
The following is a calculated XRD peak list of Na2GeRuO6. It was derived from the PBE geometry in Alexandria, using Cu Kα, 1.54184 Å.
Peak positions follow from Bragg's law for the DFT cell and can differ from measured ones.

Most intense lines, 10 to 90 degrees two-theta, in order of rising 2θ:
| two_theta | I (rel.) |
| --- | --- |
| 17.93 | 60 |
| 24.54 | 56 |
| 30.57 | 100 |
| 34.99 | 30 |
| 36.33 | 20 |
| 50.32 | 28 |
| 51.32 | 23 |
| 60.03 | 28 |

Cell and atoms:
Cell lengths 5.129, 5.129, 4.946 Å; angles 90.00, 90.00, 90.00 degrees
Atoms (fractional coordinates):
1 Na 0.000 0.500 0.000
2 Na 0.500 0.000 0.000
3 Ge 0.000 0.000 0.518
4 Ru 0.500 0.500 0.555
5 O 0.000 0.000 0.169
6 O 0.246 0.246 0.651
7 O 0.246 0.754 0.651
8 O 0.500 0.500 0.194
9 O 0.754 0.246 0.651
10 O 0.754 0.754 0.651


(8)
The following is a calculated XRD peak list of Na2GeSbO4. It was derived from the PBE geometry in Alexandria, using Cu Kα, 1.54184 Å.
Peak positions follow from Bragg's law for the DFT cell and can differ from measured ones.

Most intense lines, 10 to 90 degrees two-theta, in order of rising 2θ:
| two_theta | I (rel.) |
| --- | --- |
| 20.03 | 100 |
| 29.05 | 64 |
| 34.83 | 97 |
| 35.54 | 40 |
| 41.55 | 34 |
| 55.30 | 60 |
| 65.85 | 16 |
| 68.22 | 15 |

Cell and atoms:
Cell lengths 6.148, 6.148, 6.395 Å; angles 90.00, 90.00, 90.00 degrees
Atoms (fractional coordinates):
1 Na 0.000 0.000 0.000
2 Na 0.000 0.500 0.250
3 Na 0.500 0.000 0.750
4 Na 0.500 0.500 0.500
5 Ge 0.000 0.500 0.750
6 Ge 0.500 0.000 0.250
7 Sb 0.000 0.000 0.500
8 Sb 0.500 0.500 0.000
9 O 0.154 0.331 0.575
10 O 0.169 0.654 0.925
11 O 0.331 0.846 0.425
12 O 0.346 0.169 0.075
13 O 0.654 0.831 0.075
14 O 0.669 0.154 0.425
15 O 0.831 0.346 0.925
16 O 0.846 0.669 0.575